Record 1
Structure and simulated powder diffractogram of Er3Ge4Pd2 (a GGA-PBE-relaxed structure; Cu Kα, 1.54184 Å).
Kinematic intensities with the Lorentz-polarization factor, no thermal factor.

Principal peaks in the range 2θ = 15–90°, most intense first:
33.64 deg, rel. 100; 42.43 deg, rel. 85; 33.49 deg, rel. 79; 33.79 deg, rel. 51; 41.48 deg, rel. 46; 34.10 deg, rel. 39

Structural model:
a = 5.7380 Å, b = 5.7380 Å, c = 8.2295 Å
α = 105.29°, β = 105.29°, γ = 44.59°
Fractional coordinates of all 9 atoms:
Er 0.0000 0.0000 0.0000
Er 0.3363 0.3363 0.3349
Er 0.6637 0.6637 0.6651
Ge 0.0625 0.0625 0.3935
Ge 0.2722 0.2722 0.9348
Ge 0.7278 0.7278 0.0652
Ge 0.9375 0.9375 0.6065
Pd 0.3944 0.3944 0.7229
Pd 0.6056 0.6056 0.2771

***

Record 2
Structure and simulated powder diffractogram of KMo8 (a GGA-PBE-relaxed structure; Cu Kα, 1.54184 Å).
Kinematic intensities with the Lorentz-polarization factor, no thermal factor.

Principal peaks in the range 2θ = 15–90°, most intense first:
38.39 deg, rel. 100; 37.66 deg, rel. 28; 47.79 deg, rel. 25; 62.39 deg, rel. 22; 82.67 deg, rel. 18; 68.46 deg, rel. 17

Structural model:
a = 6.1891 Å, b = 6.1891 Å, c = 6.1891 Å
α = 98.57°, β = 98.57°, γ = 134.59°
Fractional coordinates of all 9 atoms:
K 0.0000 0.0000 0.0000
Mo 0.0000 0.3459 0.3459
Mo 0.0000 0.6541 0.6541
Mo 0.3203 0.3203 0.6405
Mo 0.3203 0.6797 0.0000
Mo 0.3459 0.0000 0.3459
Mo 0.6541 0.0000 0.6541
Mo 0.6797 0.3203 0.0000
Mo 0.6797 0.6797 0.3595

***

Record 3
Structure and simulated powder diffractogram of Pm6SmZn (a GGA-PBE-relaxed structure; Cu Kα, 1.54184 Å).
Kinematic intensities with the Lorentz-polarization factor, no thermal factor.

Principal peaks in the range 2θ = 15–90°, most intense first:
28.52 deg, rel. 100; 29.22 deg, rel. 64; 34.35 deg, rel. 59; 41.27 deg, rel. 40; 43.32 deg, rel. 36; 30.04 deg, rel. 33

Structural model:
a = 7.0070 Å, b = 7.0070 Å, c = 6.8345 Å
α = 101.39°, β = 101.39°, γ = 121.50°
Fractional coordinates of all 8 atoms:
Pm 0.1818 0.7388 0.7494
Pm 0.2612 0.8182 0.2506
Pm 0.4444 0.4444 0.2332
Pm 0.5556 0.5556 0.7668
Pm 0.7388 0.1818 0.7494
Pm 0.8182 0.2612 0.2506
Sm 0.0000 0.0000 0.5000
Zn 0.0000 0.0000 0.0000